This entry pairs a crystal structure of Mg3Cr with its computed XRD peak list. Radiation: a wavelength of 1.5418 Å. Structure: a cell relaxed with PBE.
Kinematic intensities with the Lorentz-polarization factor, no thermal factor.

Structural model:
a b c (Å): 3.1447 4.9564 5.3275
angles (deg): 90.00 90.00 90.00
Space group Pmm2 (No. 25)
Asymmetric unit:
Mg (0.0000, 0.0000, 0.0000) [1 per cell]
Mg (0.0000, 0.5000, 0.3381) [1 per cell]
Mg (0.5000, 0.0000, 0.5137) [1 per cell]
Cr (0.5000, 0.5000, 0.8410) [1 per cell]

Principal peaks in the range 10° ≤ 2θ ≤ 80°, most intense first:
| d [Å] | Rel. int. | h k l |
| --- | --- | --- |
| 2.377 | 100 | 1 1 1 |
| 2.346 | 48 | 0 1 2 |
| 2.478 | 37 | 0 2 0 |
| 2.708 | 28 | 1 0 1 |
| 1.312 | 17 | 1 2 3 |
| 1.410 | 17 | 1 3 1 |